Simulated powder diffractogram of Ce6Si3S14 for copper Kα, from the PBE geometry in Alexandria.

Largest 10 diffraction maxima, sorted by position, 2θ from 10° to 80°:
two_theta  Rel. int.
18.37  29
20.08  35
23.27  45
25.39  100
26.67  31
35.15  30
36.63  52
37.24  34
39.94  52
41.36  38

Crystal structure
abc: 10.213 10.213 5.764
angles: 90.00 90.00 120.00
Fractional positions:
Ce (0.013, 0.559, 0.000)
Ce (0.301, 0.094, 0.482)
Ce (0.441, 0.455, 0.000)
Ce (0.545, 0.987, 0.000)
Ce (0.793, 0.699, 0.482)
Ce (0.906, 0.207, 0.482)
Si (0.000, 0.000, 0.896)
Si (0.333, 0.667, 0.415)
Si (0.667, 0.333, 0.713)
S (0.000, 0.000, 0.264)
S (0.074, 0.853, 0.755)
S (0.147, 0.221, 0.755)
S (0.193, 0.446, 0.268)
S (0.254, 0.807, 0.268)
S (0.333, 0.667, 0.780)
S (0.397, 0.156, 0.009)
S (0.515, 0.415, 0.515)
S (0.554, 0.746, 0.268)
S (0.585, 0.099, 0.515)
S (0.759, 0.603, 0.009)
S (0.779, 0.926, 0.755)
S (0.844, 0.241, 0.009)
S (0.901, 0.485, 0.515)


Simulated powder diffractogram of HfGa2Pd9 for copper Kα, from the PBE geometry in Alexandria.

Largest 10 diffraction maxima, sorted by position, 2θ from 10° to 80°:
two_theta  Rel. int.
15.08  2
23.63  2
27.09  2
32.77  1
35.41  1
39.46  100
45.66  33
46.35  16
66.55  10
67.10  20

Crystal structure
abc: 3.974 3.974 11.753
angles: 90.00 90.00 90.00
Fractional positions:
Hf (0.000, 0.000, 0.000)
Ga (0.000, 0.000, 0.340)
Ga (0.000, 0.000, 0.660)
Pd (0.000, 0.500, 0.170)
Pd (0.000, 0.500, 0.500)
Pd (0.000, 0.500, 0.830)
Pd (0.500, 0.000, 0.170)
Pd (0.500, 0.000, 0.500)
Pd (0.500, 0.000, 0.830)
Pd (0.500, 0.500, 0.000)
Pd (0.500, 0.500, 0.335)
Pd (0.500, 0.500, 0.665)


Simulated powder diffractogram of Dy3Tm2Cd2 for copper Kα, from the PBE geometry in Alexandria.

Largest 10 diffraction maxima, sorted by position, 2θ from 10° to 80°:
two_theta  Rel. int.
26.95  9
32.81  94
33.57  100
47.65  33
58.11  20
59.55  34
60.03  19
68.79  8
70.57  12
78.76  13

Crystal structure
abc: 8.472 8.472 8.472
angles: 36.73 36.73 36.73
Fractional positions:
Dy (0.000, 0.000, 0.000)
Dy (0.157, 0.157, 0.157)
Dy (0.843, 0.843, 0.843)
Tm (0.426, 0.426, 0.426)
Tm (0.574, 0.574, 0.574)
Cd (0.289, 0.289, 0.289)
Cd (0.711, 0.711, 0.711)


What is the formula in the first record? Ce6Si3S14